(1)
LiFe2B2O6: computed powder XRD pattern (Cu Kα X-rays), based on DFT lattice parameters and positions (PBE+U).
Neutral-atom scattering factors, no anomalous dispersion.

The 10 most intense peaks (5 to 70 degrees two-theta), by intensity:
d [Å]	Position (°2θ)	Rel. int.	h k l
2.520	35.6	100	0 0 8
4.151	21.4	92	1 0 2
4.552	19.5	76	1 1 0
2.634	34.0	70	1 2 0
4.584	19.4	46	1 0 0
3.405	26.2	36	1 0 -4
3.425	26.0	35	0 1 4
1.528	60.6	33	3 0 0
4.167	21.3	30	1 1 2
2.653	33.8	30	1 -1 0

Atomic structure:
```
data_LiFe2B2O6
_cell_length_a 5.266
_cell_length_b 5.271
_cell_length_c 20.166
_cell_angle_alpha 88.99
_cell_angle_beta 89.92
_cell_angle_gamma 60.47
_symmetry_space_group_name_H-M 'P 1'
_symmetry_Int_Tables_number 1
loop_
_symmetry_equiv_pos_as_xyz
'x,y,z'
loop_
_atom_site_label
_atom_site_type_symbol
_atom_site_fract_x
_atom_site_fract_y
_atom_site_fract_z
_atom_site_occupancy
Li1 Li 0.000 0.000 0.000 1
Li2 Li 0.005 0.993 0.750 1
Li3 Li 0.678 0.295 0.369 1
Li4 Li 0.698 0.321 0.621 1
Fe1 Fe 0.012 0.648 0.133 1
Fe2 Fe 0.029 0.655 0.636 1
Fe3 Fe 0.332 0.327 0.510 1
Fe4 Fe 0.336 0.969 0.387 1
Fe5 Fe 0.350 0.335 0.011 1
Fe6 Fe 0.354 0.984 0.886 1
Fe7 Fe 0.667 0.673 0.261 1
Fe8 Fe 0.668 0.643 0.762 1
B1 B 0.009 0.649 0.386 1
B2 B 0.012 0.653 0.888 1
B3 B 0.333 0.328 0.262 1
B4 B 0.340 0.319 0.762 1
B5 B 0.342 0.991 0.136 1
B6 B 0.353 0.984 0.637 1
B7 B 0.673 0.661 0.513 1
B8 B 0.677 0.657 0.011 1
O1 O 0.049 0.893 0.893 1
O2 O 0.069 0.543 0.236 1
O3 O 0.083 0.005 0.645 1
O4 O 0.087 0.576 0.743 1
O5 O 0.114 0.942 0.128 1
O6 O 0.237 0.381 0.907 1
O7 O 0.265 0.397 0.409 1
O8 O 0.315 0.074 0.783 1
O9 O 0.322 0.254 0.117 1
O10 O 0.361 0.062 0.283 1
O11 O 0.370 0.229 0.614 1
O12 O 0.426 0.913 0.989 1
O13 O 0.451 0.927 0.490 1
O14 O 0.559 0.381 0.273 1
O15 O 0.607 0.727 0.653 1
O16 O 0.608 0.300 0.758 1
O17 O 0.610 0.770 0.162 1
O18 O 0.630 0.426 0.521 1
O19 O 0.693 0.394 0.011 1
O20 O 0.747 0.682 0.867 1
O21 O 0.772 0.618 0.364 1
O22 O 0.916 0.687 0.033 1
O23 O 0.942 0.633 0.529 1
O24 O 0.993 0.913 0.385 1
```

(2)
LiFe2B2O6: computed powder XRD pattern (Cu Kα X-rays), based on DFT lattice parameters and positions (PBE+U).
Neutral-atom scattering factors, no anomalous dispersion.

The 10 most intense peaks (5 to 70 degrees two-theta), by intensity:
d [Å]	Position (°2θ)	Rel. int.	h k l
4.142	21.5	100	1 1 2
2.544	35.3	65	0 0 4
4.535	19.6	51	0 2 1
2.624	34.2	48	-1 3 1
3.420	26.1	46	-1 1 2
3.373	26.4	34	1 -1 2
4.562	19.5	29	1 -1 0
1.849	49.3	20	1 1 6
2.640	34.0	20	2 0 1
2.213	40.8	19	0 4 3

Atomic structure:
```
data_LiFe2B2O6
_cell_length_a 5.280
_cell_length_b 9.070
_cell_length_c 11.409
_cell_angle_alpha 66.62
_cell_angle_beta 77.39
_cell_angle_gamma 89.82
_symmetry_space_group_name_H-M 'P 1'
_symmetry_Int_Tables_number 1
loop_
_symmetry_equiv_pos_as_xyz
'x,y,z'
loop_
_atom_site_label
_atom_site_type_symbol
_atom_site_fract_x
_atom_site_fract_y
_atom_site_fract_z
_atom_site_occupancy
Li1 Li 0.000 0.000 0.000 1
Li2 Li 0.070 0.370 0.244 1
Li3 Li 0.739 0.745 0.501 1
Li4 Li 0.810 0.136 0.751 1
Fe1 Fe 0.042 0.014 0.281 1
Fe2 Fe 0.236 0.574 0.531 1
Fe3 Fe 0.295 0.946 0.778 1
Fe4 Fe 0.485 0.156 0.037 1
Fe5 Fe 0.544 0.538 0.277 1
Fe6 Fe 0.729 0.073 0.529 1
Fe7 Fe 0.786 0.455 0.777 1
Fe8 Fe 0.985 0.648 0.027 1
B1 B 0.026 0.682 0.285 1
B2 B 0.245 0.907 0.527 1
B3 B 0.271 0.278 0.785 1
B4 B 0.483 0.827 0.036 1
B5 B 0.541 0.206 0.279 1
B6 B 0.729 0.405 0.534 1
B7 B 0.795 0.787 0.774 1
B8 B 0.988 0.309 0.031 1
O1 O 0.001 0.934 0.493 1
O2 O 0.005 0.773 0.829 1
O3 O 0.079 0.426 0.059 1
O4 O 0.102 0.160 0.062 1
O5 O 0.141 0.138 0.801 1
O6 O 0.162 0.423 0.741 1
O7 O 0.250 0.839 0.998 1
O8 O 0.258 0.653 0.325 1
O9 O 0.356 0.019 0.563 1
O10 O 0.374 0.779 0.523 1
O11 O 0.416 0.339 0.278 1
O12 O 0.439 0.107 0.229 1
O13 O 0.516 0.273 0.819 1
O14 O 0.530 0.451 0.471 1
O15 O 0.590 0.681 0.084 1
O16 O 0.622 0.967 0.022 1
O17 O 0.685 0.659 0.761 1
O18 O 0.694 0.939 0.729 1
O19 O 0.770 0.171 0.326 1
O20 O 0.771 0.323 0.975 1
O21 O 0.828 0.258 0.558 1
O22 O 0.828 0.514 0.578 1
O23 O 0.894 0.808 0.296 1
O24 O 0.927 0.572 0.244 1
```

(3)
LiFe2B2O6: computed powder XRD pattern (Cu Kα X-rays), based on DFT lattice parameters and positions (PBE+U).
Neutral-atom scattering factors, no anomalous dispersion.

The 10 most intense peaks (5 to 70 degrees two-theta), by intensity:
d [Å]	Position (°2θ)	Rel. int.	h k l
4.539	19.6	100	0 2 0
2.558	35.1	76	0 0 4
4.118	21.6	76	1 1 -2
2.620	34.2	58	1 3 -1
3.445	25.9	55	1 1 1
4.144	21.4	44	0 2 1
3.357	26.6	39	1 1 -3
2.233	40.4	34	2 2 -1
2.212	40.8	26	0 4 1
1.849	49.3	25	1 1 -6

Atomic structure:
```
data_LiFe2B2O6
_cell_length_a 5.264
_cell_length_b 9.066
_cell_length_c 11.370
_cell_angle_alpha 90.00
_cell_angle_beta 115.84
_cell_angle_gamma 90.00
_symmetry_space_group_name_H-M 'P 1 c 1'
_symmetry_Int_Tables_number 7
loop_
_symmetry_equiv_pos_as_xyz
'x,y,z'
'x,-y,z+1/2'
loop_
_atom_site_label
_atom_site_type_symbol
_atom_site_fract_x
_atom_site_fract_y
_atom_site_fract_z
_atom_site_occupancy
Li1 Li 0.000 0.241 0.000 1
Li2 Li 0.943 0.251 0.260 1
Fe1 Fe 0.027 0.089 0.520 1
Fe2 Fe 0.457 0.084 0.272 1
Fe3 Fe 0.521 0.418 0.022 1
Fe4 Fe 0.959 0.414 0.773 1
B1 B 0.016 0.419 0.517 1
B2 B 0.441 0.417 0.270 1
B3 B 0.543 0.083 0.025 1
B4 B 0.967 0.081 0.776 1
O1 O 0.095 0.450 0.976 1
O2 O 0.102 0.286 0.492 1
O3 O 0.137 0.070 0.712 1
O4 O 0.302 0.286 0.253 1
O5 O 0.310 0.071 0.053 1
O6 O 0.355 0.459 0.815 1
O7 O 0.633 0.038 0.479 1
O8 O 0.671 0.430 0.239 1
O9 O 0.686 0.215 0.047 1
O10 O 0.846 0.430 0.582 1
O11 O 0.883 0.049 0.315 1
O12 O 0.888 0.215 0.805 1
```

(4)
LiFe2B2O6: computed powder XRD pattern (Cu Kα X-rays), based on DFT lattice parameters and positions (PBE+U).
Neutral-atom scattering factors, no anomalous dispersion.

The 10 most intense peaks (5 to 70 degrees two-theta), by intensity:
d [Å]	Position (°2θ)	Rel. int.	h k l
2.544	35.3	100	0 0 4
4.112	21.6	81	1 1 -1
4.515	19.7	73	1 -1 0
3.434	25.9	69	0 2 2
4.137	21.5	68	0 2 -1
2.622	34.2	38	1 -3 0
2.608	34.4	34	2 0 0
3.345	26.6	30	1 1 -2
2.639	34.0	28	1 3 0
2.230	40.4	23	2 2 1

Atomic structure:
```
data_LiFe2B2O6
_cell_length_a 5.216
_cell_length_b 9.141
_cell_length_c 10.179
_cell_angle_alpha 88.84
_cell_angle_beta 88.89
_cell_angle_gamma 89.54
_symmetry_space_group_name_H-M 'P 1'
_symmetry_Int_Tables_number 1
loop_
_symmetry_equiv_pos_as_xyz
'x,y,z'
loop_
_atom_site_label
_atom_site_type_symbol
_atom_site_fract_x
_atom_site_fract_y
_atom_site_fract_z
_atom_site_occupancy
Li1 Li 0.000 0.000 0.000 1
Li2 Li 0.000 0.014 0.475 1
Li3 Li 0.329 0.359 0.730 1
Li4 Li 0.820 0.857 0.726 1
Fe1 Fe 0.003 0.356 0.446 1
Fe2 Fe 0.331 0.026 0.703 1
Fe3 Fe 0.338 0.688 0.201 1
Fe4 Fe 0.497 0.184 0.964 1
Fe5 Fe 0.512 0.835 0.448 1
Fe6 Fe 0.829 0.522 0.704 1
Fe7 Fe 0.844 0.187 0.213 1
Fe8 Fe 0.982 0.674 0.957 1
B1 B 0.012 0.685 0.459 1
B2 B 0.333 0.684 0.707 1
B3 B 0.337 0.012 0.198 1
B4 B 0.495 0.179 0.457 1
B5 B 0.495 0.860 0.953 1
B6 B 0.829 0.189 0.699 1
B7 B 0.834 0.521 0.207 1
B8 B 0.993 0.341 0.939 1
O1 O 0.067 0.685 0.738 1
O2 O 0.076 0.019 0.193 1
O3 O 0.252 0.679 0.399 1
O4 O 0.254 0.332 0.925 1
O5 O 0.352 0.745 0.002 1
O6 O 0.353 0.305 0.456 1
O7 O 0.359 0.991 0.920 1
O8 O 0.383 0.046 0.490 1
O9 O 0.456 0.814 0.675 1
O10 O 0.464 0.886 0.239 1
O11 O 0.465 0.553 0.708 1
O12 O 0.483 0.133 0.155 1
O13 O 0.576 0.533 0.203 1
O14 O 0.579 0.198 0.747 1
O15 O 0.757 0.855 0.932 1
O16 O 0.764 0.183 0.431 1
O17 O 0.859 0.220 0.990 1
O18 O 0.867 0.467 0.897 1
O19 O 0.884 0.815 0.477 1
O20 O 0.904 0.553 0.507 1
O21 O 0.950 0.394 0.259 1
O22 O 0.953 0.057 0.688 1
O23 O 0.958 0.320 0.661 1
O24 O 0.992 0.630 0.156 1
```

(5)
LiFe2B2O6: computed powder XRD pattern (Cu Kα X-rays), based on DFT lattice parameters and positions (PBE+U).
Neutral-atom scattering factors, no anomalous dispersion.

The 10 most intense peaks (5 to 70 degrees two-theta), by intensity:
d [Å]	Position (°2θ)	Rel. int.	h k l
4.114	21.6	100	1 -1 1
2.526	35.5	77	0 0 4
4.517	19.7	63	0 2 1
2.608	34.4	30	-1 3 1
3.415	26.1	27	-1 1 2
2.623	34.2	27	1 3 2
3.442	25.9	26	1 1 -1
2.639	34.0	23	2 0 1
3.339	26.7	21	1 1 3
4.137	21.5	20	0 2 0

Atomic structure:
```
data_LiFe2B2O6
_cell_length_a 5.281
_cell_length_b 9.034
_cell_length_c 11.283
_cell_angle_alpha 66.82
_cell_angle_beta 77.89
_cell_angle_gamma 89.62
_symmetry_space_group_name_H-M 'P 1'
_symmetry_Int_Tables_number 1
loop_
_symmetry_equiv_pos_as_xyz
'x,y,z'
loop_
_atom_site_label
_atom_site_type_symbol
_atom_site_fract_x
_atom_site_fract_y
_atom_site_fract_z
_atom_site_occupancy
Li1 Li 0.000 0.000 0.000 1
Li2 Li 0.183 0.863 0.259 1
Li3 Li 0.437 0.138 0.751 1
Li4 Li 0.751 0.746 0.519 1
Fe1 Fe 0.007 0.354 0.971 1
Fe2 Fe 0.203 0.542 0.241 1
Fe3 Fe 0.263 0.939 0.477 1
Fe4 Fe 0.453 0.484 0.734 1
Fe5 Fe 0.514 0.831 0.989 1
Fe6 Fe 0.693 0.060 0.223 1
Fe7 Fe 0.749 0.417 0.481 1
Fe8 Fe 0.949 0.960 0.735 1
B1 B 0.013 0.679 0.982 1
B2 B 0.195 0.218 0.228 1
B3 B 0.264 0.605 0.474 1
B4 B 0.474 0.817 0.723 1
B5 B 0.496 0.184 0.972 1
B6 B 0.719 0.721 0.228 1
B7 B 0.741 0.083 0.485 1
B8 B 0.943 0.294 0.737 1
O1 O 0.061 0.402 0.773 1
O2 O 0.066 0.153 0.745 1
O3 O 0.139 0.748 0.462 1
O4 O 0.151 0.496 0.438 1
O5 O 0.219 0.666 0.043 1
O6 O 0.243 0.854 0.678 1
O7 O 0.291 0.062 0.280 1
O8 O 0.304 0.342 0.244 1
O9 O 0.376 0.052 0.969 1
O10 O 0.383 0.331 0.941 1
O11 O 0.469 0.729 0.199 1
O12 O 0.496 0.584 0.515 1
O13 O 0.565 0.921 0.775 1
O14 O 0.609 0.697 0.708 1
O15 O 0.618 0.211 0.488 1
O16 O 0.644 0.973 0.440 1
O17 O 0.709 0.318 0.698 1
O18 O 0.738 0.174 0.009 1
O19 O 0.829 0.576 0.271 1
O20 O 0.854 0.864 0.207 1
O21 O 0.907 0.556 0.965 1
O22 O 0.914 0.834 0.934 1
O23 O 0.966 0.040 0.535 1
O24 O 0.991 0.230 0.167 1
```

What is the formula in the third record?
LiFe2B2O6